Record 1
# Pu2BeAlAu6
Theoretical PXRD pattern, copper Kα. Input: a structure optimized by DFT (PBE).
Kinematic intensities with the Lorentz-polarization factor, no thermal factor.

Cell and atoms:
```
data_Pu2BeAlAu6
_chemical_formula_sum 'Pu2 Be1 Al1 Au6'
_symmetry_space_group_name_H-M 'P 1'
_symmetry_Int_Tables_number 1
_cell_length_a 6.316
_cell_length_b 6.360
_cell_length_c 7.037
_cell_angle_alpha 90.58
_cell_angle_beta 116.45
_cell_angle_gamma 119.65
loop_
_symmetry_equiv_pos_as_xyz
'x,y,z'
loop_
_atom_site_label
_atom_site_fract_x
_atom_site_fract_y
_atom_site_fract_z
_atom_site_occupancy
Pu1 0.073 0.292 0.360 1
Pu2 0.927 0.708 0.640 1
Be1 0.500 0.500 0.000 1
Al1 0.500 0.000 0.500 1
Au1 0.018 0.248 0.816 1
Au2 0.436 0.744 0.175 1
Au3 0.450 0.212 0.193 1
Au4 0.550 0.788 0.807 1
Au5 0.564 0.256 0.825 1
Au6 0.982 0.752 0.184 1
```

Largest 6 diffraction maxima, in order of rising 2θ, 2θ = 10–90°:
- 3.024 Å, 29.54 deg, I = 409, (0 1 -2)
- 3.008 Å, 29.70 deg, I = 392, (0 0 2)
- 2.640 Å, 33.96 deg, I = 526, (0 2 0)
- 2.625 Å, 34.16 deg, I = 1000, (2 0 -2)
- 2.347 Å, 38.35 deg, I = 280, (2 0 0)
- 2.336 Å, 38.54 deg, I = 478, (-2 2 2)

Record 2
# AlAu2Br
Theoretical PXRD pattern, copper Kα. Input: a structure optimized by DFT (PBE).
Kinematic intensities with the Lorentz-polarization factor, no thermal factor.

Cell and atoms:
```
data_AlAu2Br
_chemical_formula_sum 'Al2 Au4 Br2'
_symmetry_space_group_name_H-M 'P 1'
_symmetry_Int_Tables_number 1
_cell_length_a 9.086
_cell_length_b 3.457
_cell_length_c 6.577
_cell_angle_alpha 90.00
_cell_angle_beta 93.17
_cell_angle_gamma 90.00
loop_
_symmetry_equiv_pos_as_xyz
'x,y,z'
loop_
_atom_site_label
_atom_site_fract_x
_atom_site_fract_y
_atom_site_fract_z
_atom_site_occupancy
Al1 0.000 0.000 0.000 1
Al2 0.500 0.500 0.000 1
Au1 0.073 0.500 0.729 1
Au2 0.291 0.000 0.891 1
Au3 0.573 0.000 0.729 1
Au4 0.791 0.500 0.891 1
Br1 0.050 0.500 0.300 1
Br2 0.550 0.000 0.300 1
```

Largest 6 diffraction maxima, in order of rising 2θ, 2θ = 10–90°:
- 6.567 Å, 13.48 deg, I = 1000, (0 0 1)
- 3.832 Å, 23.21 deg, I = 249, (2 0 -1)
- 3.231 Å, 27.61 deg, I = 441, (1 1 0)
- 2.876 Å, 31.09 deg, I = 388, (1 1 1)
- 2.279 Å, 39.55 deg, I = 829, (1 1 2)
- 2.179 Å, 41.44 deg, I = 270, (3 1 -1)

Record 3
# AlAuBr4
Theoretical PXRD pattern, copper Kα. Input: a structure optimized by DFT (PBE).
Kinematic intensities with the Lorentz-polarization factor, no thermal factor.

Cell and atoms:
```
data_AlAuBr4
_chemical_formula_sum 'Al2 Au2 Br8'
_symmetry_space_group_name_H-M 'P 1'
_symmetry_Int_Tables_number 1
_cell_length_a 7.639
_cell_length_b 7.639
_cell_length_c 8.750
_cell_angle_alpha 90.00
_cell_angle_beta 90.00
_cell_angle_gamma 90.00
loop_
_symmetry_equiv_pos_as_xyz
'x,y,z'
loop_
_atom_site_label
_atom_site_fract_x
_atom_site_fract_y
_atom_site_fract_z
_atom_site_occupancy
Al1 0.000 0.500 0.000 1
Al2 0.500 0.000 0.500 1
Au1 0.000 0.000 0.000 1
Au2 0.000 0.000 0.500 1
Br1 0.225 0.280 0.000 1
Br2 0.225 0.720 0.000 1
Br3 0.280 0.225 0.500 1
Br4 0.280 0.775 0.500 1
Br5 0.720 0.225 0.500 1
Br6 0.720 0.775 0.500 1
Br7 0.775 0.280 0.000 1
Br8 0.775 0.720 0.000 1
```

Largest 6 diffraction maxima, in order of rising 2θ, 2θ = 10–90°:
- 7.639 Å, 11.58 deg, I = 787, (1 0 0)
- 4.375 Å, 20.30 deg, I = 1000, (0 0 2)
- 3.796 Å, 23.43 deg, I = 331, (1 0 2)
- 2.701 Å, 33.17 deg, I = 501, (2 2 0)
- 2.693 Å, 33.27 deg, I = 310, (2 1 2)
- 2.298 Å, 39.20 deg, I = 632, (2 2 2)